Record 1
Mg5Al4Pd4: calculated powder diffractogram (Cu Ka), based on a DFT-relaxed cell (PBE, Alexandria).

Top 6 peaks for 2θ from 10° to 90°, in order of rising 2θ:
| d [Å] | I/Imax |
| --- | --- |
| 3.858 | 79 |
| 3.633 | 50 |
| 3.451 | 43 |
| 3.024 | 41 |
| 2.380 | 100 |
| 2.182 | 71 |

Structure:
```
data_Mg5Al4Pd4
_symmetry_space_group_name_H-M 'I 4/m'
_symmetry_Int_Tables_number 87
_symmetry_space_group_name_Hall '-I 4'
_cell_length_a 10.913
_cell_length_b 10.913
_cell_length_c 3.852
_cell_angle_alpha 90.00
_cell_angle_beta 90.00
_cell_angle_gamma 90.00
loop_
_atom_site_label
_atom_site_type_symbol
_atom_site_fract_x
_atom_site_fract_y
_atom_site_fract_z
_atom_site_occupancy
Mg1 Mg 0.000 0.000 0.000 1
Mg2 Mg 0.138 0.203 0.500 1
Al1 Al 0.081 0.610 0.500 1
Pd1 Pd 0.046 0.757 0.000 1
```


Record 2
Er4GaHS2: calculated powder diffractogram (Cu Ka), based on a DFT-relaxed cell (PBE, Alexandria).

Top 6 peaks for 2θ from 10° to 90°, in order of rising 2θ:
| d [Å] | I/Imax |
| --- | --- |
| 3.188 | 42 |
| 3.173 | 39 |
| 2.754 | 100 |
| 1.948 | 48 |
| 1.664 | 20 |
| 1.232 | 20 |

Structure:
```
data_Er4GaHS2
_symmetry_space_group_name_H-M 'F m m 2'
_symmetry_Int_Tables_number 42
_symmetry_space_group_name_Hall 'F 2 -2'
_cell_length_a 7.759
_cell_length_b 11.023
_cell_length_c 7.817
_cell_angle_alpha 90.00
_cell_angle_beta 90.00
_cell_angle_gamma 90.00
loop_
_atom_site_label
_atom_site_type_symbol
_atom_site_fract_x
_atom_site_fract_y
_atom_site_fract_z
_atom_site_occupancy
Er1 Er 0.000 0.247 0.000 1
Er2 Er 0.230 0.000 0.243 1
Ga1 Ga 0.000 0.000 0.513 1
H1 H 0.000 0.000 0.051 1
S1 S 0.250 0.250 0.249 1
```


Record 3
La4NiPt2: calculated powder diffractogram (Cu Ka), based on a DFT-relaxed cell (PBE, Alexandria).

Top 6 peaks for 2θ from 10° to 90°, in order of rising 2θ:
| d [Å] | I/Imax |
| --- | --- |
| 6.271 | 39 |
| 3.229 | 100 |
| 3.193 | 59 |
| 2.417 | 39 |
| 2.197 | 34 |
| 2.147 | 53 |

Structure:
```
data_La4NiPt2
_symmetry_space_group_name_H-M 'C 1 2/m 1'
_symmetry_Int_Tables_number 12
_cell_length_a 14.502
_cell_length_b 4.395
_cell_length_c 7.383
_cell_angle_alpha 90.00
_cell_angle_beta 120.13
_cell_angle_gamma 90.00
loop_
_symmetry_equiv_pos_as_xyz
'x,y,z'
'-x,-y,-z'
'-x,y,-z'
'x,-y,z'
'x+1/2,y+1/2,z'
'-x+1/2,-y+1/2,-z'
'-x+1/2,y+1/2,-z'
'x+1/2,-y+1/2,z'
loop_
_atom_site_label
_atom_site_type_symbol
_atom_site_fract_x
_atom_site_fract_y
_atom_site_fract_z
_atom_site_occupancy
La1 La 0.106 0.000 0.298 1
La2 La 0.144 0.500 0.780 1
Ni1 Ni 0.000 0.500 0.000 1
Pt1 Pt 0.221 0.500 0.230 1
```